1.
# Li4CaCd
Computed XRD peak list, λ = 1.5418 Å (Cu Kα). Input: a DFT-relaxed cell (GGA-PBE, Alexandria).
Peak positions follow from Bragg's law for the DFT cell and can differ from measured ones.

Structure:
a b c (Å): 8.329 4.412 7.855
angles (deg): 90.00 90.00 90.00
Sites, in units of the cell vectors:
Li 0.000 0.000 0.000
Li 0.058 0.500 0.307
Li 0.250 0.500 0.973
Li 0.442 0.500 0.307
Li 0.500 0.000 0.000
Li 0.558 0.500 0.693
Li 0.750 0.500 0.027
Li 0.942 0.500 0.693
Ca 0.250 0.000 0.626
Ca 0.750 0.000 0.374
Cd 0.250 0.000 0.222
Cd 0.750 0.000 0.778

Top 6 peaks for 2θ = 10–80°, most intense first:
- 15.51 deg, 5.715 Å, I = 100
- 20.13 deg, 4.412 Å, I = 85
- 21.34 deg, 4.165 Å, I = 77
- 29.49 deg, 3.029 Å, I = 73
- 25.51 deg, 3.492 Å, I = 56
- 37.50 deg, 2.398 Å, I = 48

***

2.
# Li9Ca2Cd6
Computed XRD peak list, λ = 1.5418 Å (Cu Kα). Input: a DFT-relaxed cell (GGA-PBE, Alexandria).
Peak positions follow from Bragg's law for the DFT cell and can differ from measured ones.

Structure:
a b c (Å): 5.697 5.697 14.360
angles (deg): 90.00 90.00 120.00
Sites, in units of the cell vectors:
Li 0.000 0.500 0.000
Li 0.000 0.500 0.333
Li 0.000 0.500 0.667
Li 0.500 0.000 0.000
Li 0.500 0.000 0.333
Li 0.500 0.000 0.667
Li 0.500 0.500 0.000
Li 0.500 0.500 0.333
Li 0.500 0.500 0.667
Ca 0.000 0.000 0.163
Ca 0.000 0.000 0.837
Cd 0.333 0.667 0.167
Cd 0.333 0.667 0.500
Cd 0.333 0.667 0.833
Cd 0.667 0.333 0.167
Cd 0.667 0.333 0.500
Cd 0.667 0.333 0.833

Top 6 peaks for 2θ = 10–80°, most intense first:
- 36.71 deg, 2.448 Å, I = 100
- 18.54 deg, 4.787 Å, I = 80
- 31.40 deg, 2.849 Å, I = 71
- 49.76 deg, 1.832 Å, I = 37
- 17.98 deg, 4.934 Å, I = 36
- 25.93 deg, 3.436 Å, I = 24

***

3.
# Li2CaCd10
Computed XRD peak list, λ = 1.5418 Å (Cu Kα). Input: a DFT-relaxed cell (GGA-PBE, Alexandria).
Peak positions follow from Bragg's law for the DFT cell and can differ from measured ones.

Structure:
a b c (Å): 5.792 7.528 7.619
angles (deg): 82.34 68.64 68.37
Sites, in units of the cell vectors:
Li 0.000 0.000 0.000
Li 0.500 0.000 0.000
Ca 0.000 0.000 0.500
Cd 0.000 0.500 0.500
Cd 0.010 0.337 0.143
Cd 0.281 0.208 0.728
Cd 0.339 0.663 0.143
Cd 0.491 0.792 0.727
Cd 0.500 0.500 0.500
Cd 0.509 0.208 0.273
Cd 0.661 0.337 0.857
Cd 0.719 0.792 0.272
Cd 0.990 0.663 0.857

Top 6 peaks for 2θ = 10–80°, most intense first:
- 36.03 deg, 2.493 Å, I = 100
- 12.65 deg, 6.998 Å, I = 68
- 30.89 deg, 2.895 Å, I = 50
- 40.05 deg, 2.251 Å, I = 43
- 35.88 deg, 2.503 Å, I = 42
- 40.23 deg, 2.241 Å, I = 39

***

4.
# Li3Ca4Cd
Computed XRD peak list, λ = 1.5418 Å (Cu Kα). Input: a DFT-relaxed cell (GGA-PBE, Alexandria).
Peak positions follow from Bragg's law for the DFT cell and can differ from measured ones.

Structure:
a b c (Å): 3.981 5.053 12.347
angles (deg): 90.00 90.00 90.00
Sites, in units of the cell vectors:
Li 0.000 0.000 0.000
Li 0.000 0.500 0.137
Li 0.500 0.000 0.503
Ca 0.000 0.000 0.717
Ca 0.000 0.500 0.422
Ca 0.500 0.000 0.224
Ca 0.500 0.500 0.910
Cd 0.500 0.500 0.637

Top 6 peaks for 2θ = 10–80°, most intense first:
- 29.47 deg, 3.031 Å, I = 100
- 31.26 deg, 2.861 Å, I = 45
- 34.04 deg, 2.634 Å, I = 40
- 18.98 deg, 4.676 Å, I = 38
- 36.08 deg, 2.490 Å, I = 36
- 35.54 deg, 2.526 Å, I = 28

***

5.
# Li4Ca11Cd9
Computed XRD peak list, λ = 1.5418 Å (Cu Kα). Input: a DFT-relaxed cell (GGA-PBE, Alexandria).
Peak positions follow from Bragg's law for the DFT cell and can differ from measured ones.

Structure:
a b c (Å): 14.150 14.150 3.806
angles (deg): 90.00 90.00 116.50
Sites, in units of the cell vectors:
Li 0.026 0.206 0.000
Li 0.206 0.026 0.000
Li 0.794 0.974 0.000
Li 0.974 0.794 0.000
Ca 0.083 0.420 0.500
Ca 0.178 0.822 0.500
Ca 0.227 0.227 0.500
Ca 0.341 0.659 0.500
Ca 0.420 0.083 0.500
Ca 0.500 0.500 0.500
Ca 0.580 0.917 0.500
Ca 0.659 0.341 0.500
Ca 0.773 0.773 0.500
Ca 0.822 0.178 0.500
Ca 0.917 0.580 0.500
Cd 0.000 0.000 0.000
Cd 0.127 0.623 0.000
Cd 0.284 0.439 0.000
Cd 0.377 0.873 0.000
Cd 0.439 0.284 0.000
Cd 0.561 0.716 0.000
Cd 0.623 0.127 0.000
Cd 0.716 0.561 0.000
Cd 0.873 0.377 0.000

Top 6 peaks for 2θ = 10–80°, most intense first:
- 32.82 deg, 2.729 Å, I = 100
- 32.43 deg, 2.761 Å, I = 78
- 33.67 deg, 2.662 Å, I = 69
- 29.81 deg, 2.997 Å, I = 36
- 59.19 deg, 1.561 Å, I = 34
- 18.25 deg, 4.862 Å, I = 28

***

6.
# LiCaCd2O4
Computed XRD peak list, λ = 1.5418 Å (Cu Kα). Input: a DFT-relaxed cell (GGA-PBE, Alexandria).
Peak positions follow from Bragg's law for the DFT cell and can differ from measured ones.

Structure:
a b c (Å): 6.626 6.626 6.661
angles (deg): 120.11 120.11 89.13
Sites, in units of the cell vectors:
Li 0.000 0.000 0.000
Li 0.000 0.000 0.500
Ca 0.000 0.500 0.000
Ca 0.500 0.000 0.500
Cd 0.000 0.500 0.500
Cd 0.500 0.000 0.000
Cd 0.500 0.500 0.000
Cd 0.500 0.500 0.500
O 0.245 0.754 0.498
O 0.246 0.755 0.002
O 0.252 0.256 0.505
O 0.256 0.252 0.005
O 0.744 0.748 0.995
O 0.748 0.744 0.495
O 0.754 0.245 0.998
O 0.755 0.246 0.502

Top 6 peaks for 2θ = 10–80°, most intense first:
- 16.32 deg, 5.432 Å, I = 100
- 38.09 deg, 2.363 Å, I = 83
- 55.45 deg, 1.657 Å, I = 50
- 32.94 deg, 2.719 Å, I = 47
- 33.09 deg, 2.707 Å, I = 46
- 38.73 deg, 2.325 Å, I = 40

***

7.
# Li2Ca2PmCd5
Computed XRD peak list, λ = 1.5418 Å (Cu Kα). Input: a DFT-relaxed cell (GGA-PBE, Alexandria).
Peak positions follow from Bragg's law for the DFT cell and can differ from measured ones.

Structure:
a b c (Å): 10.925 10.925 4.125
angles (deg): 90.00 90.00 90.00
Sites, in units of the cell vectors:
Li 0.116 0.384 0.000
Li 0.384 0.884 0.000
Li 0.616 0.116 0.000
Li 0.884 0.616 0.000
Ca 0.181 0.681 0.000
Ca 0.319 0.181 0.000
Ca 0.681 0.819 0.000
Ca 0.819 0.319 0.000
Pm 0.000 0.000 0.000
Pm 0.500 0.500 0.000
Cd 0.000 0.500 0.500
Cd 0.061 0.218 0.500
Cd 0.218 0.939 0.500
Cd 0.282 0.439 0.500
Cd 0.439 0.718 0.500
Cd 0.500 0.000 0.500
Cd 0.561 0.282 0.500
Cd 0.718 0.561 0.500
Cd 0.782 0.061 0.500
Cd 0.939 0.782 0.500

Top 6 peaks for 2θ = 10–80°, most intense first:
- 33.84 deg, 2.649 Å, I = 100
- 36.80 deg, 2.443 Å, I = 44
- 31.74 deg, 2.819 Å, I = 37
- 28.32 deg, 3.152 Å, I = 22
- 58.56 deg, 1.576 Å, I = 22
- 64.39 deg, 1.447 Å, I = 21

***

8.
# SrLi2Ca2Cd2
Computed XRD peak list, λ = 1.5418 Å (Cu Kα). Input: a DFT-relaxed cell (GGA-PBE, Alexandria).
Peak positions follow from Bragg's law for the DFT cell and can differ from measured ones.

Structure:
a b c (Å): 10.172 10.172 10.172
angles (deg): 28.88 28.88 28.88
Sites, in units of the cell vectors:
Sr 0.000 0.000 0.000
Li 0.408 0.408 0.408
Li 0.592 0.592 0.592
Ca 0.131 0.131 0.131
Ca 0.869 0.869 0.869
Cd 0.256 0.256 0.256
Cd 0.744 0.744 0.744

Top 6 peaks for 2θ = 10–80°, most intense first:
- 31.86 deg, 2.809 Å, I = 100
- 35.39 deg, 2.536 Å, I = 84
- 23.63 deg, 3.765 Å, I = 70
- 29.52 deg, 3.026 Å, I = 41
- 21.12 deg, 4.207 Å, I = 38
- 20.44 deg, 4.344 Å, I = 34